Diffraction record for La2CuTe2Se2. The powder X-ray diffraction pattern is computed, not measured: it uses a DFT-relaxed cell (GGA-PBE, Alexandria) and Cu Kα (λ = 1.5418 Å).

Largest 10 diffraction maxima, low angle first, 2θ from 5° to 70°:
| Position (°2θ) | d [Å] | Rel. int. |
| --- | --- | --- |
| 7.1 | 12.431 | 33.8 |
| 22.0 | 4.033 | 100.0 |
| 30.1 | 2.972 | 40.5 |
| 35.8 | 2.511 | 40.0 |
| 36.5 | 2.462 | 73.4 |
| 42.1 | 2.148 | 26.6 |
| 43.0 | 2.101 | 17.0 |
| 52.0 | 1.758 | 13.5 |
| 52.3 | 1.749 | 14.3 |
| 57.7 | 1.598 | 14.0 |

Structural model:
```
data_La2CuTe2Se2
_cell_length_a 4.9237
_cell_length_b 4.9237
_cell_length_c 12.4309
_cell_angle_alpha 90.00
_cell_angle_beta 90.00
_cell_angle_gamma 120.00
_space_group_name_H-M_alt 'P -3 m 1'
_space_group_IT_number 164
_space_group_name_Hall '-P 3 2"'
loop_
_atom_site_label
_atom_site_fract_x
_atom_site_fract_y
_atom_site_fract_z
La1 0.3333 0.6667 0.1577
Cu1 0.0000 0.0000 0.5000
Te1 0.0000 0.0000 0.3056
Se1 0.3333 0.6667 0.9116
```